Record 1
Computed X-ray diffraction stick pattern of Ba3NdIr2O9 for Cu Kα, from a crystal structure in Alexandria, relaxed with GGA-PBE.

Principal peaks in the range 2θ from 10° to 90°, in order of falling intensity:
29.72°, I 100; 29.02°, I 18; 29.41°, I 16; 52.69°, I 11; 61.76°, I 11; 41.73°, I 9; 42.34°, I 9; 52.82°, I 9

Structural model:
```
data_Ba3NdIr2O9
_chemical_formula_sum 'Ba12 Nd4 Ir8 O36'
_cell_length_a 6.0257
_cell_length_b 10.3980
_cell_length_c 14.9745
_cell_angle_alpha 90.00
_cell_angle_beta 91.68
_cell_angle_gamma 90.00
_space_group_name_H-M_alt 'C 1 2/c 1'
_space_group_IT_number 15
_space_group_name_Hall '-C 2yc'
loop_
_atom_site_label
_atom_site_type_symbol
_atom_site_fract_x
_atom_site_fract_y
_atom_site_fract_z
Ba1 Ba 0.0000 0.0037 0.2500
Ba2 Ba 0.0063 0.3337 0.5958
Nd1 Nd 0.0000 0.0000 0.0000
Ir1 Ir 0.0133 0.3342 0.1660
O1 O 0.0000 0.4918 0.2500
O2 O 0.0260 0.1773 0.0917
O3 O 0.2037 0.4090 0.4207
O4 O 0.2357 0.2579 0.2591
O5 O 0.2416 0.0899 0.9013
```

=====

Record 2
Computed X-ray diffraction stick pattern of Ba4NdIr3O12 for Cu Kα, from a crystal structure in Alexandria, relaxed with GGA-PBE.

Principal peaks in the range 2θ from 10° to 90°, in order of falling intensity:
29.79°, I 100; 27.39°, I 31; 52.88°, I 20; 61.88°, I 16; 40.01°, I 16; 26.05°, I 15; 17.43°, I 14; 17.89°, I 12

Structural model:
```
data_Ba4NdIr3O12
_chemical_formula_sum 'Ba8 Nd2 Ir6 O24'
_cell_length_a 10.4205
_cell_length_b 5.9921
_cell_length_c 10.8282
_cell_angle_alpha 90.00
_cell_angle_beta 112.40
_cell_angle_gamma 90.00
_space_group_name_H-M_alt 'C 1 2/m 1'
_space_group_IT_number 12
_space_group_name_Hall '-C 2y'
loop_
_atom_site_label
_atom_site_type_symbol
_atom_site_fract_x
_atom_site_fract_y
_atom_site_fract_z
Ba1 Ba 0.1280 0.0000 0.3870
Ba2 Ba 0.2234 0.5000 0.1457
Nd1 Nd 0.0000 0.0000 0.0000
Ir1 Ir 0.0000 0.5000 0.5000
Ir2 Ir 0.0699 0.5000 0.7547
O1 O 0.0148 0.2647 0.8521
O2 O 0.1167 0.2679 0.6355
O3 O 0.1264 0.5000 0.3951
O4 O 0.2404 0.0000 0.1078
```